Diffraction record for Gd4ZrSe4O4. The powder diffractogram is calculated, not measured: it uses a DFT-relaxed cell (GGA-PBE, OQMD) and Cu Kα, 1.54184 Å.

Top 10 peaks for 2θ = 5–70°, in order of rising 2θ:
- 2θ = 10.08°, rel. 32, hkl 0 0 1
- 2θ = 12.02°, rel. 23, hkl 2 0 -1
- 2θ = 25.33°, rel. 15, hkl 4 0 0
- 2θ = 30.56°, rel. 64, hkl 0 0 3
- 2θ = 31.40°, rel. 100, hkl 3 1 -2
- 2θ = 34.85°, rel. 100, hkl 3 1 1
- 2θ = 48.16°, rel. 27, hkl 0 2 0
- 2θ = 52.50°, rel. 19, hkl 3 1 -5
- 2θ = 58.13°, rel. 23, hkl 0 2 3
- 2θ = 59.34°, rel. 19, hkl 3 1 4

Structural model:
Lattice parameters (Å, degrees): 15.788 3.778 9.863 90.00 117.16 90.00
Space group C2/m (No. 12)
Inequivalent atoms, fractional coordinates:
Gd 0.027 0.000 0.338
Gd 0.224 0.500 0.331
Zr 0.000 0.500 0.000
Se 0.116 0.500 0.632
Se 0.129 0.000 0.017
O 0.055 0.500 0.235
O 0.184 0.000 0.412